For InGaS3, a DFT-relaxed cell (PBE, the Materials Project) gives the theoretical X-ray powder pattern in this record (copper Kα).

Main lines, in order of rising 2θ (10° ≤ 2θ ≤ 90°):
- (0 0 3), d = 6.296 Å, intensity 54
- (0 0 5), d = 3.778 Å, intensity 39
- (1 0 1), d = 3.354 Å, intensity 55
- (0 1 2), d = 3.206 Å, intensity 100
- (1 0 4), d = 2.763 Å, intensity 42
- (1 0 6), d = 2.312 Å, intensity 28
- (0 1 7), d = 2.116 Å, intensity 41
- (1 1 0), d = 1.968 Å, intensity 59
- (1 0 9), d = 1.787 Å, intensity 36
- (1 1 5), d = 1.745 Å, intensity 25

Structural model:
```
InGaS3
1.0
3.9352 0.0000 0.0000
-1.9676 3.4080 0.0000
0.0000 0.0000 18.8888
In Ga S
2 2 6
direct
0.0000 0.0000 0.0000 In
0.3333 0.6667 0.6404 In
0.3333 0.6667 0.2065 Ga
0.6667 0.3333 0.3849 Ga
0.3333 0.6667 0.0893 S
0.3333 0.6667 0.4166 S
0.3333 0.6667 0.7661 S
0.6667 0.3333 0.2537 S
0.6667 0.3333 0.5784 S
0.6667 0.3333 0.9381 S
```